No. 1
This entry pairs a crystal structure of Li2MnFeB2O6 with its computed powder XRD pattern. Radiation: Cu Ka. Structure: a cell relaxed with PBE+U.

Largest 8 diffraction maxima, by angle, 2θ = 5–70°:
20.3 deg, d = 4.377 Å, intensity 78.9, (1 0 1); 22.2 deg, d = 4.002 Å, intensity 35.1, (0 0 2); 22.6 deg, d = 3.939 Å, intensity 59.9, (1 -1 0); 33.8 deg, d = 2.648 Å, intensity 100.0, (0 2 -2); 34.1 deg, d = 2.629 Å, intensity 58.8, (-1 1 2); 34.6 deg, d = 2.595 Å, intensity 24.7, (1 1 2); 40.1 deg, d = 2.249 Å, intensity 25.4, (0 1 3); 40.9 deg, d = 2.206 Å, intensity 32.9, (2 0 -2)

Structural model:
Unit cell a=5.2583 b=5.9812 c=8.2009 alpha=102.56 beta=90.31 gamma=90.84
Fractional positions:
Li  0.1518  0.4532  0.2785
Li  0.3438  0.0408  0.2251
Li  0.6562  0.9592  0.7749
Li  0.8482  0.5468  0.7215
Mn  0.1725  0.1821  0.9184
Mn  0.8275  0.8179  0.0816
Fe  0.3367  0.3188  0.5784
Fe  0.6633  0.6812  0.4216
B  0.1733  0.8338  0.5895
B  0.3301  0.6677  0.9032
B  0.6699  0.3323  0.0968
B  0.8267  0.1662  0.4105
O  0.0851  0.1792  0.3856
O  0.1833  0.4876  0.8075
O  0.2110  0.8381  0.0198
O  0.2935  0.6615  0.4744
O  0.3206  0.0131  0.6843
O  0.4111  0.3212  0.1226
O  0.5889  0.6788  0.8774
O  0.6794  0.9869  0.3157
O  0.7065  0.3385  0.5256
O  0.7890  0.1619  0.9802
O  0.8167  0.5124  0.1925
O  0.9149  0.8208  0.6144



No. 2
This entry pairs a crystal structure of Li2MnFeB2O6 with its computed powder XRD pattern. Radiation: Cu Ka. Structure: a cell relaxed with PBE+U.

Largest 8 diffraction maxima, by angle, 2θ = 5–70°:
21.5 deg, d = 4.133 Å, intensity 100.0, (1 0 1); 31.0 deg, d = 2.888 Å, intensity 16.5, (0 2 1); 33.1 deg, d = 2.706 Å, intensity 16.3, (3 0 -2); 35.8 deg, d = 2.509 Å, intensity 79.4, (1 2 1); 37.7 deg, d = 2.386 Å, intensity 32.0, (3 0 -3); 47.8 deg, d = 1.904 Å, intensity 27.8, (0 2 3); 53.0 deg, d = 1.729 Å, intensity 24.8, (2 2 2); 54.6 deg, d = 1.681 Å, intensity 18.0, (4 2 -1)

Structural model:
Unit cell a=8.2607 b=6.3126 c=8.2689 alpha=90.00 beta=119.96 gamma=90.00
Fractional positions:
Li  0.0000  0.2491  0.0000
Li  0.0000  0.7509  0.0000
Li  0.4134  0.2501  0.7321
Li  0.4134  0.7499  0.7321
Li  0.6810  0.2498  0.4133
Li  0.6810  0.7502  0.4133
Mn  0.0588  0.0000  0.7025
Mn  0.3263  0.5000  0.3558
Mn  0.7109  0.5000  0.0870
Fe  0.0575  0.5000  0.7080
Fe  0.3307  0.0000  0.3552
Fe  0.7055  0.0000  0.0825
B  0.0316  0.2485  0.3820
B  0.0316  0.7515  0.3820
B  0.3649  0.2481  0.0486
B  0.3649  0.7519  0.0486
B  0.6980  0.0000  0.7178
B  0.6983  0.5000  0.7126
O  0.2253  0.2477  0.4628
O  0.2253  0.7523  0.4628
O  0.2572  0.2540  0.8551
O  0.2572  0.7460  0.8551
O  0.2789  0.2455  0.1563
O  0.2789  0.7545  0.1563
O  0.5586  0.2462  0.1345
O  0.5586  0.7538  0.1345
O  0.5864  0.0000  0.8009
O  0.5858  0.5000  0.7936
O  0.6131  0.0000  0.5233
O  0.6193  0.5000  0.5197
O  0.8910  0.0000  0.8279
O  0.8933  0.5000  0.8263
O  0.9189  0.2468  0.1884
O  0.9189  0.7532  0.1884
O  0.9507  0.2520  0.4948
O  0.9507  0.7480  0.4948



No. 3
This entry pairs a crystal structure of Li4Mn3FeB4O12 with its computed powder XRD pattern. Radiation: Cu Ka. Structure: a cell relaxed with PBE+U.

Largest 8 diffraction maxima, by angle, 2θ = 5–70°:
20.3 deg, d = 4.365 Å, intensity 80.4, (0 1 -1); 22.1 deg, d = 4.023 Å, intensity 33.1, (1 1 0); 22.4 deg, d = 3.962 Å, intensity 60.5, (1 -1 0); 33.2 deg, d = 2.697 Å, intensity 100.0, (0 2 2); 34.0 deg, d = 2.640 Å, intensity 33.1, (2 0 0); 34.6 deg, d = 2.591 Å, intensity 29.1, (1 1 -2); 40.0 deg, d = 2.253 Å, intensity 25.3, (2 1 -1); 40.7 deg, d = 2.216 Å, intensity 53.8, (2 0 2)

Structural model:
Unit cell a=5.2829 b=6.2485 c=7.9616 alpha=77.55 beta=88.06 gamma=88.73
Fractional positions:
Li  0.0000  0.0000  0.0000
Li  0.1326  0.7380  0.6043
Li  0.4993  0.4999  0.5005
Li  0.6334  0.2397  0.1054
Mn  0.1364  0.4613  0.9796
Mn  0.4956  0.7799  0.1265
Mn  0.6404  0.9604  0.4799
Fe  0.9992  0.2771  0.6294
B  0.1402  0.1072  0.3051
B  0.4978  0.1348  0.7986
B  0.6389  0.6051  0.8037
B  0.9936  0.6311  0.3028
O  0.0322  0.0318  0.4703
O  0.1025  0.7098  0.1376
O  0.1430  0.5299  0.4366
O  0.2365  0.1644  0.8225
O  0.3982  0.0732  0.2767
O  0.4868  0.7051  0.6704
O  0.5306  0.5279  0.9690
O  0.6111  0.2146  0.6357
O  0.6441  0.0358  0.9349
O  0.7355  0.6664  0.3300
O  0.8972  0.5725  0.7755
O  0.9884  0.2036  0.1700



No. 4
This entry pairs a crystal structure of Li4MnFe3B4O12 with its computed powder XRD pattern. Radiation: Cu Ka. Structure: a cell relaxed with PBE+U.

Largest 8 diffraction maxima, by angle, 2θ = 5–70°:
20.4 deg, d = 4.359 Å, intensity 81.6, (1 0 1); 22.3 deg, d = 3.989 Å, intensity 31.2, (1 1 0); 22.5 deg, d = 3.958 Å, intensity 59.7, (0 0 2); 33.5 deg, d = 2.677 Å, intensity 100.0, (0 2 2); 34.2 deg, d = 2.623 Å, intensity 56.2, (1 1 -2); 34.8 deg, d = 2.578 Å, intensity 31.0, (2 0 0); 41.0 deg, d = 2.201 Å, intensity 31.4, (0 2 -2); 62.0 deg, d = 1.497 Å, intensity 26.4, (3 -1 2)

Structural model:
Unit cell a=5.1621 b=6.1845 c=8.0830 alpha=78.40 beta=88.54 gamma=87.95
Fractional positions:
Li  0.0000  0.0000  0.0000
Li  0.1653  0.9508  0.7005
Li  0.4956  0.4969  0.4974
Li  0.6654  0.4479  0.2006
Mn  0.6783  0.7113  0.8403
Fe  0.1695  0.2153  0.3378
Fe  0.4878  0.2252  0.8599
Fe  0.9906  0.7324  0.3621
B  0.1798  0.5610  0.0195
B  0.4866  0.8838  0.1824
B  0.6747  0.0664  0.5188
B  0.9836  0.3831  0.6799
O  0.0375  0.4679  0.1634
O  0.0698  0.7262  0.8977
O  0.0994  0.2244  0.8024
O  0.1231  0.4800  0.5356
O  0.2241  0.9464  0.1990
O  0.4383  0.4920  0.0029
O  0.5364  0.9762  0.6649
O  0.5604  0.2238  0.3946
O  0.6015  0.7231  0.3039
O  0.6257  0.9786  0.0371
O  0.7217  0.4454  0.6960
O  0.9373  0.0013  0.5021



No. 5
This entry pairs a crystal structure of Li2MnFeB2O6 with its computed powder XRD pattern. Radiation: Cu Ka. Structure: a cell relaxed with PBE+U.

Largest 8 diffraction maxima, by angle, 2θ = 5–70°:
19.5 deg, d = 4.547 Å, intensity 66.1, (1 0 0); 21.5 deg, d = 4.134 Å, intensity 60.9, (1 1 -1); 26.3 deg, d = 3.392 Å, intensity 30.5, (1 1 -2); 34.1 deg, d = 2.630 Å, intensity 27.9, (1 -1 0); 34.2 deg, d = 2.621 Å, intensity 58.7, (2 1 0); 34.4 deg, d = 2.609 Å, intensity 100.0, (0 0 4); 40.6 deg, d = 2.224 Å, intensity 31.9, (2 2 1); 48.3 deg, d = 1.884 Å, intensity 24.9, (1 1 -5)

Structural model:
Unit cell a=5.2388 b=5.2455 c=10.4406 alpha=88.62 beta=89.67 gamma=60.25
Fractional positions:
Li  0.0000  0.0000  0.0000
Li  0.0145  0.3160  0.7498
Li  0.9633  0.3403  0.2498
Li  0.9780  0.0088  0.5007
Mn  0.3224  0.3354  0.0356
Mn  0.6675  0.9846  0.7823
Fe  0.3041  0.6687  0.2865
Fe  0.6629  0.6600  0.5320
B  0.3254  0.3324  0.5393
B  0.3337  0.6584  0.7901
B  0.6485  0.9991  0.2930
B  0.6492  0.6693  0.0433
O  0.0698  0.3168  0.5529
O  0.0876  0.9339  0.8047
O  0.3119  0.5946  0.5013
O  0.3135  0.4077  0.8209
O  0.3748  0.7009  0.0745
O  0.3840  0.2456  0.2552
O  0.5963  0.0814  0.5677
O  0.5997  0.6290  0.7487
O  0.6610  0.7311  0.3207
O  0.6701  0.9117  0.0002
O  0.8995  0.3952  0.0572
O  0.9017  0.0194  0.3056



No. 6
This entry pairs a crystal structure of Li4Mn3FeB4O12 with its computed powder XRD pattern. Radiation: Cu Ka. Structure: a cell relaxed with PBE+U.

Largest 8 diffraction maxima, by angle, 2θ = 5–70°:
19.5 deg, d = 4.542 Å, intensity 35.3, (1 -1 0); 21.3 deg, d = 4.166 Å, intensity 20.4, (1 -1 1); 21.5 deg, d = 4.130 Å, intensity 32.2, (1 0 1); 25.6 deg, d = 3.479 Å, intensity 12.3, (1 0 -2); 26.3 deg, d = 3.389 Å, intensity 15.6, (1 0 2); 34.2 deg, d = 2.623 Å, intensity 100.0, (0 0 4); 40.3 deg, d = 2.238 Å, intensity 12.6, (0 2 -1); 48.3 deg, d = 1.885 Å, intensity 13.7, (0 1 5)

Structural model:
Unit cell a=5.2409 b=5.2490 c=10.4970 alpha=91.18 beta=90.69 gamma=119.86
Fractional positions:
Li  0.0000  0.0000  0.0000
Li  0.0132  0.9898  0.5000
Li  0.6696  0.6851  0.7504
Li  0.6973  0.6592  0.2503
Mn  0.0232  0.3361  0.2866
Mn  0.3441  0.6673  0.0347
Mn  0.3478  0.0166  0.7832
Fe  0.6728  0.3373  0.5349
B  0.0076  0.3416  0.7907
B  0.3423  0.6691  0.5416
B  0.3507  0.9975  0.2940
B  0.6823  0.3330  0.0423
O  0.0753  0.9688  0.3078
O  0.0932  0.4063  0.5034
O  0.2783  0.5926  0.8214
O  0.3226  0.9201  0.5703
O  0.3808  0.7594  0.2523
O  0.4189  0.0905  0.9998
O  0.6013  0.2684  0.3247
O  0.6150  0.6858  0.5544
O  0.7068  0.6070  0.0570
O  0.7699  0.3709  0.7495
O  0.9261  0.3006  0.0734
O  0.9784  0.0663  0.8054